Record 1
Simulated powder diffractogram
Compound: NaSr3LaTi5O15
Radiation: Cu Kα (λ = 1.5418 Å)
Structure: a cell relaxed with GGA-PBE

The 6 most intense peaks (2θ from 10° to 90°), by angle:
two_theta	intensity	hkl
32.22	1000	1 1 10
32.34	530	2 0 0
39.78	332	2 0 10
46.39	403	2 2 0
57.61	402	3 1 10
67.41	232	2 2 20

```
data_NaSr3LaTi5O15
_chemical_formula_sum 'Na4 Sr12 La4 Ti20 O60'
_cell_length_a 5.536
_cell_length_b 5.536
_cell_length_c 39.443
_cell_angle_alpha 90.00
_cell_angle_beta 90.00
_cell_angle_gamma 90.00
_symmetry_space_group_name_H-M 'I -4 2 m'
_symmetry_Int_Tables_number 121
_symmetry_space_group_name_Hall 'I -4 2'
loop_
_atom_site_label
_atom_site_fract_x
_atom_site_fract_y
_atom_site_fract_z
Na1 0.000 0.000 0.200
Sr1 0.000 0.000 0.000
Sr2 0.000 0.000 0.101
Sr3 0.000 0.000 0.400
Sr4 0.000 0.000 0.500
La1 0.000 0.000 0.300
Ti1 0.000 0.500 0.050
Ti2 0.000 0.500 0.151
Ti3 0.000 0.500 0.250
O1 0.000 0.500 0.000
O2 0.000 0.500 0.101
O3 0.000 0.500 0.201
O4 0.204 0.204 0.749
O5 0.213 0.213 0.348
O6 0.224 0.224 0.151
O7 0.230 0.230 0.550
O8 0.230 0.230 0.949
```

---

Record 2
Simulated powder diffractogram
Compound: EuNbO3
Radiation: Cu Kα (λ = 1.5418 Å)
Structure: a cell relaxed with GGA-PBE

The 6 most intense peaks (2θ from 10° to 90°), by angle:
two_theta	intensity	hkl
30.98	1000	1 1 0
44.38	299	2 0 0
55.10	397	2 1 1
64.57	183	2 2 0
73.33	172	3 1 0
89.91	213	3 2 1

```
data_EuNbO3
_chemical_formula_sum 'Eu1 Nb1 O3'
_cell_length_a 4.082
_cell_length_b 4.082
_cell_length_c 4.082
_cell_angle_alpha 90.00
_cell_angle_beta 90.00
_cell_angle_gamma 90.00
_symmetry_space_group_name_H-M 'P m -3 m'
_symmetry_Int_Tables_number 221
_symmetry_space_group_name_Hall '-P 4 2 3'
loop_
_atom_site_label
_atom_site_fract_x
_atom_site_fract_y
_atom_site_fract_z
Eu1 0.000 0.000 0.000
Nb1 0.500 0.500 0.500
O1 0.000 0.500 0.500
```

---

Record 3
Simulated powder diffractogram
Compound: Ce2MgAl
Radiation: Cu Kα (λ = 1.5418 Å)
Structure: a cell relaxed with GGA-PBE

The 6 most intense peaks (2θ from 10° to 90°), by angle:
two_theta	intensity	hkl
23.76	568	2 0 0
33.86	1000	2 2 0
41.79	173	2 2 2
48.64	179	4 0 0
54.83	236	4 2 0
60.58	369	4 2 2

```
data_Ce2MgAl
_chemical_formula_sum 'Ce8 Mg4 Al4'
_cell_length_a 7.488
_cell_length_b 7.488
_cell_length_c 7.488
_cell_angle_alpha 90.00
_cell_angle_beta 90.00
_cell_angle_gamma 90.00
_symmetry_space_group_name_H-M 'F m -3 m'
_symmetry_Int_Tables_number 225
_symmetry_space_group_name_Hall '-F 4 2 3'
loop_
_atom_site_label
_atom_site_fract_x
_atom_site_fract_y
_atom_site_fract_z
Ce1 0.250 0.250 0.250
Mg1 0.000 0.000 0.000
Al1 0.000 0.000 0.500
```

---

Record 4
Simulated powder diffractogram
Compound: SrSc2O4
Radiation: Cu Kα (λ = 1.5418 Å)
Structure: a cell relaxed with GGA-PBE

The 6 most intense peaks (2θ from 10° to 90°), by angle:
two_theta	intensity	hkl
27.03	619	2 2 0
31.81	1000	3 1 1
47.75	216	4 2 2
50.85	454	5 1 1
55.73	436	4 4 0
78.79	185	5 5 3

Lattice parameters (Å, degrees): 9.331 9.331 9.331 90.00 90.00 90.00
Space group Fd-3m (No. 227, origin choice 2)
Inequivalent atoms, fractional coordinates:
1 Sr 0.125 0.125 0.125
2 Sc 0.000 0.000 0.500
3 O 0.020 0.020 0.730

---

Record 5
Simulated powder diffractogram
Compound: Li31Zr2As13
Radiation: Cu Kα (λ = 1.5418 Å)
Structure: a cell relaxed with GGA-PBE

The 6 most intense peaks (2θ from 10° to 90°), by angle:
two_theta	intensity	hkl
24.78	315	0 0 13
25.17	1000	1 1 4
29.03	371	2 0 8
41.28	464	1 1 17
41.78	490	0 2 0
49.19	190	3 1 12

```
data_Li31Zr2As13
_chemical_formula_sum 'Li62 Zr4 As26'
_cell_length_a 7.486
_cell_length_b 4.327
_cell_length_c 46.773
_cell_angle_alpha 90.00
_cell_angle_beta 93.12
_cell_angle_gamma 90.00
_symmetry_space_group_name_H-M 'C 1 m 1'
_symmetry_Int_Tables_number 8
_symmetry_space_group_name_Hall 'C -2y'
loop_
_atom_site_label
_atom_site_fract_x
_atom_site_fract_y
_atom_site_fract_z
Li1 0.000 0.000 0.000
Li2 0.000 0.500 0.499
Li3 0.018 0.000 0.055
Li4 0.037 0.000 0.113
Li5 0.038 0.500 0.613
Li6 0.077 0.500 0.731
Li7 0.098 0.000 0.293
Li8 0.115 0.500 0.844
Li9 0.116 0.000 0.347
Li10 0.134 0.500 0.901
Li11 0.154 0.000 0.462
Li12 0.154 0.500 0.961
Li13 0.174 0.000 0.522
Li14 0.193 0.000 0.579
Li15 0.193 0.500 0.080
Li16 0.230 0.000 0.691
Li17 0.230 0.500 0.191
Li18 0.270 0.000 0.809
Li19 0.270 0.500 0.310
Li20 0.289 0.500 0.368
Li21 0.308 0.000 0.924
Li22 0.308 0.500 0.423
Li23 0.326 0.000 0.979
Li24 0.346 0.000 0.037
Li25 0.348 0.500 0.542
Li26 0.385 0.500 0.654
Li27 0.423 0.000 0.268
Li28 0.423 0.500 0.769
Li29 0.460 0.500 0.881
Li30 0.462 0.000 0.385
Li31 0.481 0.000 0.444
Zr1 0.076 0.000 0.228
Zr2 0.384 0.000 0.151
As1 0.018 0.500 0.554
As2 0.057 0.000 0.171
As3 0.095 0.500 0.787
As4 0.134 0.000 0.402
As5 0.174 0.500 0.021
As6 0.212 0.000 0.635
As7 0.250 0.500 0.251
As8 0.289 0.000 0.868
As9 0.326 0.500 0.478
As10 0.365 0.000 0.095
As11 0.404 0.500 0.711
As12 0.442 0.000 0.326
As13 0.482 0.500 0.944
```

---

Record 6
Simulated powder diffractogram
Compound: TiCu3O4
Radiation: Cu Kα (λ = 1.5418 Å)
Structure: a cell relaxed with GGA-PBE

The 6 most intense peaks (2θ from 10° to 90°), by angle:
two_theta	intensity	hkl
31.14	466	0 0 2
33.96	634	2 0 0
35.85	1000	1 1 -1
39.87	420	1 1 1
55.57	312	1 1 -3
59.17	274	3 1 -1

```
data_TiCu3O4
_chemical_formula_sum 'Ti1 Cu3 O4'
_cell_length_a 5.490
_cell_length_b 2.998
_cell_length_c 5.974
_cell_angle_alpha 90.00
_cell_angle_beta 105.94
_cell_angle_gamma 90.00
_symmetry_space_group_name_H-M 'P 1 2/m 1'
_symmetry_Int_Tables_number 10
_symmetry_space_group_name_Hall '-P 2y'
loop_
_atom_site_label
_atom_site_fract_x
_atom_site_fract_y
_atom_site_fract_z
Ti1 0.000 0.000 0.000
Cu1 0.000 0.500 0.500
Cu2 0.500 0.000 0.500
Cu3 0.500 0.500 0.000
O1 0.068 0.500 0.813
O2 0.376 0.000 0.175
```

---

Record 7
Simulated powder diffractogram
Compound: BaSi12Pt5
Radiation: Cu Kα (λ = 1.5418 Å)
Structure: a cell relaxed with GGA-PBE

The 6 most intense peaks (2θ from 10° to 90°), by angle:
two_theta	intensity	hkl
21.91	230	1 3 1
27.93	1000	1 7 1
28.85	248	2 0 0
28.96	249	0 0 2
50.55	271	3 7 1
50.70	266	1 7 3

```
data_BaSi12Pt5
_chemical_formula_sum 'Ba4 Si48 Pt20'
_cell_length_a 6.190
_cell_length_b 32.776
_cell_length_c 6.166
_cell_angle_alpha 90.00
_cell_angle_beta 90.09
_cell_angle_gamma 90.00
_symmetry_space_group_name_H-M 'C 1 2/m 1'
_symmetry_Int_Tables_number 12
_symmetry_space_group_name_Hall '-C 2y'
loop_
_atom_site_label
_atom_site_fract_x
_atom_site_fract_y
_atom_site_fract_z
Ba1 0.000 0.124 0.000
Si1 0.002 0.362 0.219
Si2 0.137 0.221 0.866
Si3 0.138 0.283 0.631
Si4 0.219 0.138 0.501
Si5 0.248 0.460 0.251
Si6 0.249 0.460 0.749
Pt1 0.000 0.000 0.000
Pt2 0.000 0.075 0.500
Pt3 0.000 0.202 0.500
Pt4 0.000 0.296 0.000
Pt5 0.000 0.424 0.000
Pt6 0.000 0.500 0.500
```

---

Record 8
Simulated powder diffractogram
Compound: Ba3Ta6Si4O26
Radiation: Cu Kα (λ = 1.5418 Å)
Structure: a cell relaxed with GGA-PBE

The 6 most intense peaks (2θ from 10° to 90°), by angle:
two_theta	intensity	hkl
11.19	369	1 0 0
19.44	431	1 1 0
22.52	355	1 1 1
29.89	1000	2 1 0
30.06	750	1 1 2
56.14	346	2 1 4

```
data_Ba3Ta6Si4O26
_chemical_formula_sum 'Ba3 Ta6 Si4 O26'
_cell_length_a 9.1328
_cell_length_b 9.1328
_cell_length_c 7.8347
_cell_angle_alpha 90.00
_cell_angle_beta 90.00
_cell_angle_gamma 120.00
_symmetry_space_group_name_H-M 'P -6 2 m'
_symmetry_Int_Tables_number 189
_symmetry_space_group_name_Hall 'P -6 -2'
loop_
_atom_site_label
_atom_site_fract_x
_atom_site_fract_y
_atom_site_fract_z
Ba1 0.0000 0.6015 0.0000
Ta1 0.0000 0.2383 0.2552
Si1 0.3333 0.6667 0.2944
O1 0.0000 0.2312 0.0000
O2 0.0000 0.2744 0.5000
O3 0.0000 0.8229 0.2632
O4 0.1828 0.4878 0.2172
O5 0.3333 0.6667 0.5000
```